[1]
Structure and theoretical powder diffraction line list of Tm3NbPd12 (a PBE-relaxed structure; Cu Kα X-rays).
Neutral-atom scattering factors, no anomalous dispersion.

Crystal structure
```
data_Tm3NbPd12
_space_group_name_H-M_alt 'P 4/m m m'
_space_group_IT_number 123
_space_group_name_Hall '-P 4 2'
_cell_length_a 4.061
_cell_length_b 4.061
_cell_length_c 16.259
_cell_angle_alpha 90.00
_cell_angle_beta 90.00
_cell_angle_gamma 90.00
loop_
_atom_site_label
_atom_site_type_symbol
_atom_site_fract_x
_atom_site_fract_y
_atom_site_fract_z
Tm1 Tm 0.000 0.000 0.000
Tm2 Tm 0.000 0.000 0.250
Nb1 Nb 0.000 0.000 0.500
Pd1 Pd 0.000 0.500 0.127
Pd2 Pd 0.000 0.500 0.384
Pd3 Pd 0.500 0.500 0.000
Pd4 Pd 0.500 0.500 0.256
Pd5 Pd 0.500 0.500 0.500
```

Peak list (6 most intense, 2θ from 10° to 90°, low angle first)
| index | 2θ/deg | intensity |
| --- | --- | --- |
| 0 0 4 | 21.88 | 2 |
| 1 1 4 | 38.38 | 100 |
| 2 0 0 | 44.61 | 49 |
| 2 2 0 | 64.93 | 31 |
| 3 1 4 | 78.01 | 35 |
| 2 2 8 | 82.20 | 10 |

***

[2]
Structure and theoretical powder diffraction line list of Fe4NiSe10 (a PBE-relaxed structure; Cu Kα X-rays).
Neutral-atom scattering factors, no anomalous dispersion.

Crystal structure
```
data_Fe4NiSe10
_space_group_name_H-M_alt 'P 1 2/m 1'
_space_group_IT_number 10
_cell_length_a 4.847
_cell_length_b 3.618
_cell_length_c 29.059
_cell_angle_alpha 90.00
_cell_angle_beta 90.17
_cell_angle_gamma 90.00
loop_
_space_group_symop_operation_xyz
'x,y,z'
'-x,-y,-z'
'-x,y,-z'
'x,-y,z'
loop_
_atom_site_label
_atom_site_type_symbol
_atom_site_fract_x
_atom_site_fract_y
_atom_site_fract_z
Fe1 Fe 0.000 0.000 0.000
Fe2 Fe 0.002 0.000 0.599
Fe3 Fe 0.006 0.000 0.798
Fe4 Fe 0.497 0.500 0.301
Fe5 Fe 0.500 0.500 0.500
Ni1 Ni 0.498 0.500 0.101
Se1 Se 0.203 0.000 0.128
Se2 Se 0.207 0.000 0.926
Se3 Se 0.217 0.000 0.328
Se4 Se 0.219 0.000 0.526
Se5 Se 0.222 0.000 0.725
Se6 Se 0.278 0.500 0.228
Se7 Se 0.280 0.500 0.427
Se8 Se 0.281 0.500 0.025
Se9 Se 0.283 0.500 0.626
Se10 Se 0.284 0.500 0.823
```

Peak list (6 most intense, 2θ from 10° to 90°, low angle first)
| index | 2θ/deg | intensity |
| --- | --- | --- |
| 1 1 0 | 30.84 | 46 |
| 1 1 -5 | 34.57 | 100 |
| 1 0 10 | 36.04 | 81 |
| 2 1 -5 | 47.77 | 36 |
| 2 1 5 | 47.85 | 39 |
| 0 1 15 | 53.67 | 35 |